[1]
Structure and computed powder diffraction line list of SmCo3Ni2 (a DFT-relaxed cell (GGA-PBE, the Materials Project); a wavelength of 1.5418 Å).
Neutral-atom scattering factors, no anomalous dispersion.

Top 10 peaks for 15° ≤ 2θ ≤ 90°, by intensity:
2θ (°), I_rel
43.03, 100
30.48, 47
42.40, 33
36.50, 32
44.87, 27
70.20, 22
63.43, 19
59.16, 16
77.56, 15
81.45, 14

Atomic structure:
```
SmCo3Ni2
1.0
4.9234 0.0000 0.0000
-2.4617 4.2638 0.0000
0.0000 0.0000 4.0405
Sm Co Ni
1 3 2
direct
0.0000 0.0000 0.0000
0.0000 0.5000 0.5000
0.5000 0.0000 0.5000
0.5000 0.5000 0.5000
0.3333 0.6667 0.0000
0.6667 0.3333 0.0000
```

[2]
Structure and computed powder diffraction line list of SmYCo2Ni2 (a DFT-relaxed cell (GGA-PBE, the Materials Project); a wavelength of 1.5418 Å).
Neutral-atom scattering factors, no anomalous dispersion.

Top 10 peaks for 15° ≤ 2θ ≤ 90°, by intensity:
2θ (°), I_rel
34.95, 100
41.38, 81
41.89, 73
73.82, 44
40.82, 42
41.00, 39
43.66, 27
43.00, 25
62.69, 21
35.75, 20

Atomic structure:
```
SmYCo2Ni2
1.0
-2.5114 2.5660 3.6739
2.5114 -2.5660 3.6739
2.5114 2.5660 -3.6739
Sm Y Co Ni
1 1 2 2
direct
0.0000 0.0000 0.0000
0.7455 0.2455 0.5000
0.3729 0.1223 0.7494
0.3729 0.6235 0.2506
0.3732 0.6227 0.7506
0.8721 0.6227 0.2494
```

[3]
Structure and computed powder diffraction line list of CoNi2Sn (a DFT-relaxed cell (GGA-PBE, the Materials Project); a wavelength of 1.5418 Å).
Neutral-atom scattering factors, no anomalous dispersion.

Top 10 peaks for 15° ≤ 2θ ≤ 90°, by intensity:
2θ (°), I_rel
43.08, 100
42.96, 79
78.93, 41
62.47, 25
89.02, 22
56.49, 20
30.06, 14
34.75, 13
89.27, 6
73.34, 6

Atomic structure:
```
CoNi2Sn
1.0
4.1991 0.0000 0.0000
-2.0996 3.6366 0.0000
0.0000 0.0000 10.3274
Co Ni Sn
3 6 3
direct
0.0000 0.0000 0.0000
0.0000 0.0000 0.2550
0.0000 0.0000 0.7424
0.0000 0.0000 0.4846
0.3333 0.6667 0.3677
0.3333 0.6667 0.8681
0.6667 0.3333 0.1301
0.6667 0.3333 0.3654
0.6667 0.3333 0.6040
0.3333 0.6667 0.1215
0.3333 0.6667 0.6150
0.6667 0.3333 0.8682
```

[4]
Structure and computed powder diffraction line list of Ti8Co3NiSn4 (a DFT-relaxed cell (GGA-PBE, the Materials Project); a wavelength of 1.5418 Å).
Neutral-atom scattering factors, no anomalous dispersion.

Top 10 peaks for 15° ≤ 2θ ≤ 90°, by intensity:
2θ (°), I_rel
39.72, 100
72.07, 24
57.43, 16
27.80, 13
24.01, 10
72.13, 8
46.95, 6
64.98, 6
85.55, 5
85.65, 5

Atomic structure:
```
Ti8Co3NiSn4
1.0
2.2682 1.3096 14.8372
-2.2682 1.3096 14.8372
0.0000 -2.6191 14.8372
Ti Co Ni Sn
8 3 1 4
direct
0.0625 0.0625 0.0625
0.1876 0.1876 0.1876
0.3125 0.3125 0.3125
0.4374 0.4374 0.4374
0.5626 0.5626 0.5626
0.6875 0.6875 0.6875
0.8124 0.8124 0.8124
0.9375 0.9375 0.9375
0.0000 0.0000 0.0000
0.2500 0.2500 0.2500
0.7500 0.7500 0.7500
0.5000 0.5000 0.5000
0.1251 0.1251 0.1251
0.3750 0.3750 0.3750
0.6250 0.6250 0.6250
0.8749 0.8749 0.8749
```

[5]
Structure and computed powder diffraction line list of TiCoNiSn (a DFT-relaxed cell (GGA-PBE, the Materials Project); a wavelength of 1.5418 Å).
Neutral-atom scattering factors, no anomalous dispersion.

Top 10 peaks for 15° ≤ 2θ ≤ 90°, by intensity:
2θ (°), I_rel
41.91, 100
76.56, 32
60.77, 16
25.30, 15
49.59, 9
66.90, 4
82.15, 3
29.30, 3
68.88, 1
51.96, 1

Atomic structure:
```
TiCoNiSn
1.0
0.0000 3.0483 3.0483
3.0483 0.0000 3.0483
3.0483 3.0483 0.0000
Ti Co Ni Sn
1 1 1 1
direct
0.0000 0.0000 0.0000
0.2500 0.2500 0.2500
0.7500 0.7500 0.7500
0.5000 0.5000 0.5000
```

[6]
Structure and computed powder diffraction line list of TaCoNi2 (a DFT-relaxed cell (GGA-PBE, the Materials Project); a wavelength of 1.5418 Å).
Neutral-atom scattering factors, no anomalous dispersion.

Top 10 peaks for 15° ≤ 2θ ≤ 90°, by intensity:
2θ (°), I_rel
45.58, 100
46.01, 45
43.09, 39
29.03, 34
39.89, 22
80.77, 20
29.18, 19
88.77, 18
73.07, 15
34.63, 13

Atomic structure:
```
TaCoNi2
1.0
4.1982 0.0000 0.0000
0.0000 2.6198 4.4694
0.0000 -2.6198 4.4694
Ta Co Ni
2 2 4
direct
0.0000 0.0000 0.0000
0.5000 0.3282 0.3282
0.0000 0.5067 0.9850
0.0000 0.9850 0.5067
0.0000 0.5041 0.5041
0.5000 0.3435 0.8237
0.5000 0.8237 0.3435
0.5000 0.8242 0.8242
```